# 1
Diffraction record for TlAgC2N2. The XRD peak list is simulated, not measured: it uses a crystal structure in the Materials Project, relaxed with PBE and Cu Kα.
Intensities are scaled so that the largest is 100.

The 10 most intense peaks (10 to 90 degrees two-theta), in order of rising 2θ:
d (Å)  Position (°2θ)  I/Imax
4.338  20.47  100.0
4.192  21.20  56.8
3.438  25.91  37.5
3.149  28.34  65.0
3.044  29.34  37.9
2.985  29.93  26.3
2.969  30.10  28.4
2.929  30.52  32.5
2.822  31.71  36.7
2.811  31.84  32.6

Structural model:
```
data_TlAgC2N2
_chemical_formula_sum 'Tl8 Ag8 C16 N16'
_cell_length_a 7.872
_cell_length_b 14.860
_cell_length_c 8.682
_cell_angle_alpha 90.00
_cell_angle_beta 92.10
_cell_angle_gamma 90.00
_symmetry_space_group_name_H-M 'P 1 21/c 1'
_symmetry_Int_Tables_number 14
_symmetry_space_group_name_Hall '-P 2ybc'
loop_
_atom_site_label
_atom_site_type_symbol
_atom_site_fract_x
_atom_site_fract_y
_atom_site_fract_z
Tl1 Tl 0.197 0.238 0.473
Tl2 Tl 0.273 0.548 0.031
Ag1 Ag 0.000 0.000 0.000
Ag2 Ag 0.297 0.679 0.546
Ag3 Ag 0.500 0.000 0.000
C1 C 0.025 0.064 0.788
C2 C 0.150 0.683 0.343
C3 C 0.388 0.068 0.180
C4 C 0.465 0.664 0.735
N1 N 0.029 0.088 0.659
N2 N 0.086 0.679 0.218
N3 N 0.333 0.101 0.291
N4 N 0.446 0.146 0.657
```



# 2
Diffraction record for NaAgC2O4. The XRD peak list is simulated, not measured: it uses a crystal structure in the Materials Project, relaxed with PBE and Cu Kα.
Intensities are scaled so that the largest is 100.

The 10 most intense peaks (10 to 90 degrees two-theta), in order of rising 2θ:
d (Å)  Position (°2θ)  I/Imax
3.753  23.71  38.5
3.389  26.29  23.2
2.973  30.05  65.5
2.898  30.85  100.0
2.658  33.72  28.0
2.586  34.69  18.3
2.516  35.68  18.7
2.412  37.28  31.9
2.253  40.02  25.4
2.056  44.05  28.4

Structural model:
```
data_NaAgC2O4
_chemical_formula_sum 'Na2 Ag2 C4 O8'
_cell_length_a 3.634
_cell_length_b 5.172
_cell_length_c 10.923
_cell_angle_alpha 90.00
_cell_angle_beta 93.06
_cell_angle_gamma 90.00
_symmetry_space_group_name_H-M 'P 1 21 1'
_symmetry_Int_Tables_number 4
_symmetry_space_group_name_Hall 'P 2yb'
loop_
_atom_site_label
_atom_site_type_symbol
_atom_site_fract_x
_atom_site_fract_y
_atom_site_fract_z
Na1 Na 0.196 0.000 0.399
Ag1 Ag 0.104 0.619 0.920
C1 C 0.359 0.020 0.686
C2 C 0.430 0.622 0.194
O1 O 0.227 0.795 0.689
O2 O 0.245 0.827 0.205
O3 O 0.342 0.173 0.594
O4 O 0.456 0.490 0.096
```